Structure and simulated powder X-ray diffraction pattern of ErGa3Os (the GGA-PBE geometry in the Materials Project; Cu Kα, 1.54184 Å).

Main lines, by intensity (2θ from 10° to 90°):
2θ = 39.78°, I = 100
2θ = 72.21°, I = 26
2θ = 27.84°, I = 19
2θ = 57.52°, I = 14
2θ = 19.59°, I = 14
2θ = 65.08°, I = 13
2θ = 34.27°, I = 11
2θ = 44.71°, I = 8
2θ = 85.75°, I = 8
2θ = 49.25°, I = 8

Structure:
Cell: 6.4092 6.4092 6.4092 Å, 90.00 90.00 90.00°
Fractional coordinates of all 15 atoms:
Er: 0.0000 0.0000 0.5000
Er: 0.0000 0.5000 0.0000
Er: 0.5000 0.0000 0.0000
Ga: 0.0000 0.0000 0.0000
Ga: 0.2886 0.2886 0.2886
Ga: 0.2886 0.2886 0.7114
Ga: 0.2886 0.7114 0.2886
Ga: 0.2886 0.7114 0.7114
Ga: 0.7114 0.2886 0.2886
Ga: 0.7114 0.2886 0.7114
Ga: 0.7114 0.7114 0.2886
Ga: 0.7114 0.7114 0.7114
Os: 0.0000 0.5000 0.5000
Os: 0.5000 0.0000 0.5000
Os: 0.5000 0.5000 0.0000

Structure and simulated powder X-ray diffraction pattern of ErGaPd (the GGA-PBE geometry in the Materials Project; Cu Kα, 1.54184 Å).

Main lines, by intensity (2θ from 10° to 90°):
2θ = 34.98°, I = 100
2θ = 40.80°, I = 45
2θ = 33.52°, I = 42
2θ = 40.47°, I = 37
2θ = 35.10°, I = 34
2θ = 54.63°, I = 20
2θ = 67.13°, I = 18
2θ = 41.10°, I = 15
2θ = 37.65°, I = 14
2θ = 70.07°, I = 13

Structure:
Cell: 6.8796 4.4578 7.6429 Å, 90.00 90.00 90.00°
Fractional coordinates of all 12 atoms:
Er: 0.0151 0.2500 0.1992
Er: 0.4849 0.7500 0.6992
Er: 0.5151 0.2500 0.3008
Er: 0.9849 0.7500 0.8008
Ga: 0.1775 0.2500 0.5765
Ga: 0.3225 0.7500 0.0765
Ga: 0.6775 0.2500 0.9235
Ga: 0.8225 0.7500 0.4235
Pd: 0.2215 0.7500 0.4046
Pd: 0.2785 0.2500 0.9046
Pd: 0.7215 0.7500 0.0954
Pd: 0.7785 0.2500 0.5954

Structure and simulated powder X-ray diffraction pattern of Er4Ga12Pd (the GGA-PBE geometry in the Materials Project; Cu Kα, 1.54184 Å).

Main lines, by intensity (2θ from 10° to 90°):
2θ = 36.09°, I = 100
2θ = 41.92°, I = 65
2θ = 29.30°, I = 38
2θ = 60.78°, I = 38
2θ = 72.77°, I = 30
2θ = 68.89°, I = 11
2θ = 76.57°, I = 11
2θ = 51.97°, I = 11
2θ = 39.10°, I = 11
2θ = 84.01°, I = 10

Structure:
Cell: 7.4657 7.4657 7.4657 Å, 109.47 109.47 109.47°
Fractional coordinates of all 17 atoms:
Er: 0.0000 0.0000 0.5000
Er: 0.0000 0.5000 0.0000
Er: 0.5000 0.0000 0.0000
Er: 0.5000 0.5000 0.5000
Ga: 0.0000 0.2965 0.2965
Ga: 0.0000 0.7035 0.7035
Ga: 0.2500 0.5000 0.7500
Ga: 0.2500 0.7500 0.5000
Ga: 0.2965 0.0000 0.2965
Ga: 0.2965 0.2965 0.0000
Ga: 0.5000 0.2500 0.7500
Ga: 0.5000 0.7500 0.2500
Ga: 0.7035 0.0000 0.7035
Ga: 0.7035 0.7035 0.0000
Ga: 0.7500 0.2500 0.5000
Ga: 0.7500 0.5000 0.2500
Pd: 0.0000 0.0000 0.0000

Structure and simulated powder X-ray diffraction pattern of ErGa2Pd (the GGA-PBE geometry in the Materials Project; Cu Kα, 1.54184 Å).

Main lines, by intensity (2θ from 10° to 90°):
2θ = 35.02°, I = 100
2θ = 36.10°, I = 97
2θ = 40.79°, I = 45
2θ = 38.03°, I = 35
2θ = 43.42°, I = 29
2θ = 71.21°, I = 22
2θ = 56.99°, I = 22
2θ = 26.97°, I = 19
2θ = 44.85°, I = 17
2θ = 35.43°, I = 17

Structure:
Cell: 5.5296 5.5296 6.6115 Å, 90.00 90.00 132.83°
Fractional coordinates of all 8 atoms:
Er: 0.0876 0.9124 0.7500
Er: 0.9124 0.0876 0.2500
Ga: 0.3721 0.6279 0.5530
Ga: 0.3721 0.6279 0.9470
Ga: 0.6279 0.3721 0.0530
Ga: 0.6279 0.3721 0.4470
Pd: 0.2002 0.7998 0.2500
Pd: 0.7998 0.2002 0.7500